Entry 1:
Starting from a DFT-relaxed cell (PBE, Alexandria), the XRD peak list of HfTaSi was calculated for Cu Kα.
Neutral-atom scattering factors, no anomalous dispersion.

Most intense lines, 15 to 90 degrees two-theta, by angle:
(hkl)  2θ (°)  I (rel.)
0 2 2  28.16  18.2
2 0 0  34.77  39.9
1 1 3  35.76  100.0
1 3 1  36.54  98.8
0 2 4  44.75  20.1
2 2 2  45.32  22.4
0 4 2  45.72  14.5
3 1 3  62.98  19.6
3 3 1  63.49  20.1
1 5 3  63.61  15.3

Crystal structure
```
data_HfTaSi
_chemical_formula_sum 'Hf8 Ta8 Si8'
_space_group_name_H-M_alt 'F m m m'
_space_group_IT_number 69
_space_group_name_Hall '-F 2 2'
_cell_length_a 5.160
_cell_length_b 8.817
_cell_length_c 9.119
_cell_angle_alpha 90.00
_cell_angle_beta 90.00
_cell_angle_gamma 90.00
loop_
_atom_site_label
_atom_site_fract_x
_atom_site_fract_y
_atom_site_fract_z
_atom_site_occupancy
Hf1 0.000 0.162 0.000 1
Ta1 0.000 0.000 0.343 1
Si1 0.250 0.250 0.250 1
```



Entry 2:
Starting from a DFT-relaxed cell (PBE, Alexandria), the XRD peak list of Tb2Hf3Si4 was calculated for Cu Kα.
Neutral-atom scattering factors, no anomalous dispersion.

Most intense lines, 15 to 90 degrees two-theta, by angle:
(hkl)  2θ (°)  I (rel.)
1 1 3  26.41  38.8
2 0 2  27.86  46.8
2 1 1  28.16  32.1
1 1 4  31.87  37.0
2 1 3  34.05  69.2
2 2 1  35.46  100.0
1 1 5  37.86  74.4
3 0 2  39.44  67.9
3 1 6  57.47  43.3
3 3 4  60.55  35.6

Crystal structure
```
data_Tb2Hf3Si4
_chemical_formula_sum 'Tb8 Hf12 Si16'
_space_group_name_H-M_alt 'P 41 21 2'
_space_group_IT_number 92
_space_group_name_Hall 'P 4abw 2nw'
_cell_length_a 7.293
_cell_length_b 7.293
_cell_length_c 13.389
_cell_angle_alpha 90.00
_cell_angle_beta 90.00
_cell_angle_gamma 90.00
loop_
_atom_site_label
_atom_site_fract_x
_atom_site_fract_y
_atom_site_fract_z
_atom_site_occupancy
Tb1 0.005 0.344 0.035 1
Hf1 0.003 0.148 0.624 1
Hf2 0.175 0.825 0.750 1
Si1 0.049 0.704 0.935 1
Si2 0.139 0.204 0.816 1
```



Entry 3:
Starting from a DFT-relaxed cell (PBE, Alexandria), the XRD peak list of Hf5SiTc6 was calculated for Cu Kα.
Neutral-atom scattering factors, no anomalous dispersion.

Most intense lines, 15 to 90 degrees two-theta, by angle:
(hkl)  2θ (°)  I (rel.)
1 0 3  27.80  3.9
2 0 0  39.52  100.0
0 0 6  39.85  19.3
0 4 0  56.75  6.9
2 0 6  57.43  13.2
2 4 0  71.41  6.9
0 4 6  71.58  6.8
3 2 3  71.77  13.7
1 2 9  72.12  13.0
2 4 6  85.03  8.7

Crystal structure
```
data_Hf5SiTc6
_chemical_formula_sum 'Hf10 Si2 Tc12'
_space_group_name_H-M_alt 'I m m m'
_space_group_IT_number 71
_space_group_name_Hall '-I 2 2'
_cell_length_a 4.553
_cell_length_b 6.488
_cell_length_c 13.572
_cell_angle_alpha 90.00
_cell_angle_beta 90.00
_cell_angle_gamma 90.00
loop_
_atom_site_label
_atom_site_fract_x
_atom_site_fract_y
_atom_site_fract_z
_atom_site_occupancy
Hf1 0.000 0.000 0.000 1
Hf2 0.000 0.000 0.339 1
Hf3 0.000 0.500 0.331 1
Si1 0.000 0.500 0.000 1
Tc1 0.000 0.245 0.500 1
Tc2 0.000 0.254 0.162 1
```



Entry 4:
Starting from a DFT-relaxed cell (PBE, Alexandria), the XRD peak list of Hf2Si3Tc was calculated for Cu Kα.
Neutral-atom scattering factors, no anomalous dispersion.

Most intense lines, 15 to 90 degrees two-theta, by angle:
(hkl)  2θ (°)  I (rel.)
1 1 0  28.27  82.5
0 1 3  31.49  62.8
0 2 0  34.20  54.9
1 0 3  34.92  100.0
2 0 0  45.90  24.1
1 2 3  49.69  73.3
2 1 3  56.73  24.3
2 2 0  58.47  23.3
1 1 6  62.32  18.1
1 4 3  82.64  16.9

Crystal structure
```
data_Hf2Si3Tc
_chemical_formula_sum 'Hf4 Si6 Tc2'
_space_group_name_H-M_alt 'I m m m'
_space_group_IT_number 71
_space_group_name_Hall '-I 2 2'
_cell_length_a 3.954
_cell_length_b 5.243
_cell_length_c 10.140
_cell_angle_alpha 90.00
_cell_angle_beta 90.00
_cell_angle_gamma 90.00
loop_
_atom_site_label
_atom_site_fract_x
_atom_site_fract_y
_atom_site_fract_z
_atom_site_occupancy
Hf1 0.000 0.000 0.176 1
Si1 0.000 0.500 0.145 1
Si2 0.000 0.500 0.500 1
Tc1 0.000 0.000 0.500 1
```



Entry 5:
Starting from a DFT-relaxed cell (PBE, Alexandria), the XRD peak list of HfSi4Tc2 was calculated for Cu Kα.
Neutral-atom scattering factors, no anomalous dispersion.

Most intense lines, 15 to 90 degrees two-theta, by angle:
(hkl)  2θ (°)  I (rel.)
1 1 0  26.54  100.0
1 0 3  28.54  45.1
2 0 0  37.88  65.7
2 0 2  40.65  27.1
1 0 5  40.88  81.3
2 1 3  48.11  25.1
2 2 0  54.65  22.4
2 1 5  56.95  60.9
3 1 0  61.75  18.4
3 2 5  82.87  20.7

Crystal structure
```
data_HfSi4Tc2
_chemical_formula_sum 'Hf2 Si8 Tc4'
_space_group_name_H-M_alt 'I 4/m m m'
_space_group_IT_number 139
_space_group_name_Hall '-I 4 2'
_cell_length_a 4.750
_cell_length_b 4.750
_cell_length_c 12.467
_cell_angle_alpha 90.00
_cell_angle_beta 90.00
_cell_angle_gamma 90.00
loop_
_atom_site_label
_atom_site_fract_x
_atom_site_fract_y
_atom_site_fract_z
_atom_site_occupancy
Hf1 0.000 0.000 0.000 1
Si1 0.000 0.000 0.212 1
Si2 0.000 0.500 0.000 1
Tc1 0.000 0.000 0.401 1
```



Entry 6:
Starting from a DFT-relaxed cell (PBE, Alexandria), the XRD peak list of Hf2Si4Tc3 was calculated for Cu Kα.
Neutral-atom scattering factors, no anomalous dispersion.

Most intense lines, 15 to 90 degrees two-theta, by angle:
(hkl)  2θ (°)  I (rel.)
1 1 -2  30.56  32.2
0 2 1  30.77  47.0
1 2 -1  31.77  34.4
2 1 -2  35.69  64.3
1 2 1  36.17  50.6
2 2 -1  38.76  100.0
1 1 2  39.13  82.5
1 1 -3  43.29  57.6
3 0 0  43.50  37.1
0 3 1  43.81  60.2

Crystal structure
```
data_Hf2Si4Tc3
_chemical_formula_sum 'Hf4 Si8 Tc6'
_space_group_name_H-M_alt 'P 1 21/c 1'
_space_group_IT_number 14
_space_group_name_Hall '-P 2ybc'
_cell_length_a 6.656
_cell_length_b 6.575
_cell_length_c 6.615
_cell_angle_alpha 90.00
_cell_angle_beta 110.34
_cell_angle_gamma 90.00
loop_
_atom_site_label
_atom_site_fract_x
_atom_site_fract_y
_atom_site_fract_z
_atom_site_occupancy
Hf1 0.190 0.167 0.062 1
Si1 0.096 0.551 0.869 1
Si2 0.492 0.638 0.634 1
Tc1 0.233 0.645 0.256 1
Tc2 0.500 0.000 0.500 1
```



Entry 7:
Starting from a DFT-relaxed cell (PBE, Alexandria), the XRD peak list of HfTi4Si2 was calculated for Cu Kα.
Neutral-atom scattering factors, no anomalous dispersion.

Most intense lines, 15 to 90 degrees two-theta, by angle:
(hkl)  2θ (°)  I (rel.)
1 1 0  23.83  17.1
0 2 1  25.86  17.6
1 3 0  28.65  19.0
0 4 1  32.42  19.5
0 6 0  33.59  40.8
1 5 0  36.55  16.6
1 3 1  37.25  100.0
0 6 1  41.30  13.7
2 0 0  47.34  15.8
0 0 2  47.65  15.5

Crystal structure
```
data_HfTi4Si2
_chemical_formula_sum 'Hf2 Ti8 Si4'
_space_group_name_H-M_alt 'C m m m'
_space_group_IT_number 65
_space_group_name_Hall '-C 2 2'
_cell_length_a 3.840
_cell_length_b 15.997
_cell_length_c 3.817
_cell_angle_alpha 90.00
_cell_angle_beta 90.00
_cell_angle_gamma 90.00
loop_
_atom_site_label
_atom_site_fract_x
_atom_site_fract_y
_atom_site_fract_z
_atom_site_occupancy
Hf1 0.000 0.000 0.000 1
Ti1 0.000 0.180 0.500 1
Ti2 0.000 0.319 0.000 1
Si1 0.000 0.429 0.500 1
```



Entry 8:
Starting from a DFT-relaxed cell (PBE, Alexandria), the XRD peak list of TmHfSi2 was calculated for Cu Kα.
Neutral-atom scattering factors, no anomalous dispersion.

Most intense lines, 15 to 90 degrees two-theta, by angle:
(hkl)  2θ (°)  I (rel.)
1 1 0  28.97  50.9
0 1 2  29.28  35.5
1 1 1  31.46  100.0
1 0 2  34.14  76.7
0 2 1  35.21  85.1
1 1 2  38.06  46.0
0 1 3  40.28  40.4
1 2 1  42.93  38.3
1 2 3  56.14  37.3
2 2 1  61.47  34.3

Crystal structure
```
data_TmHfSi2
_chemical_formula_sum 'Tm2 Hf2 Si4'
_space_group_name_H-M_alt 'P m c 21'
_space_group_IT_number 26
_space_group_name_Hall 'P 2c -2'
_cell_length_a 3.743
_cell_length_b 5.432
_cell_length_c 7.371
_cell_angle_alpha 90.00
_cell_angle_beta 90.00
_cell_angle_gamma 90.00
loop_
_atom_site_label
_atom_site_fract_x
_atom_site_fract_y
_atom_site_fract_z
_atom_site_occupancy
Tm1 0.000 0.129 0.000 1
Hf1 0.500 0.372 0.642 1
Si1 0.000 0.391 0.363 1
Si2 0.500 0.121 0.283 1
```



Entry 9:
Starting from a DFT-relaxed cell (PBE, Alexandria), the XRD peak list of Hf2VSi2 was calculated for Cu Kα.
Neutral-atom scattering factors, no anomalous dispersion.

Most intense lines, 15 to 90 degrees two-theta, by angle:
(hkl)  2θ (°)  I (rel.)
0 0 2  25.28  36.1
1 1 0  25.92  48.6
0 4 1  27.08  100.0
0 2 2  28.02  52.9
1 1 1  28.90  31.4
1 3 1  33.63  89.2
1 1 2  36.52  68.1
1 5 0  39.57  56.2
1 3 2  40.47  49.9
1 5 1  41.68  35.9

Crystal structure
```
data_Hf2VSi2
_chemical_formula_sum 'Hf8 V4 Si8'
_space_group_name_H-M_alt 'C m c 21'
_space_group_IT_number 36
_space_group_name_Hall 'C 2c -2'
_cell_length_a 3.532
_cell_length_b 14.898
_cell_length_c 7.045
_cell_angle_alpha 90.00
_cell_angle_beta 90.00
_cell_angle_gamma 90.00
loop_
_atom_site_label
_atom_site_fract_x
_atom_site_fract_y
_atom_site_fract_z
_atom_site_occupancy
Hf1 0.000 0.039 0.000 1
Hf2 0.000 0.196 0.388 1
V1 0.000 0.405 0.151 1
Si1 0.000 0.186 0.773 1
Si2 0.000 0.438 0.797 1
```



Entry 10:
Starting from a DFT-relaxed cell (PBE, Alexandria), the XRD peak list of Sm6HfSn10 was calculated for Cu Kα.
Neutral-atom scattering factors, no anomalous dispersion.

Most intense lines, 15 to 90 degrees two-theta, by angle:
(hkl)  2θ (°)  I (rel.)
1 1 1  23.80  14.9
3 -1 1  32.67  100.0
3 0 0  33.35  60.0
1 1 2  34.46  91.5
4 -2 1  41.36  20.1
3 1 1  42.95  15.0
2 2 2  48.71  22.9
3 -1 3  53.09  14.7
5 0 2  65.04  13.8
3 0 4  69.33  12.4

Crystal structure
```
data_Sm6HfSn10
_chemical_formula_sum 'Sm6 Hf1 Sn10'
_space_group_name_H-M_alt 'P -3 1 m'
_space_group_IT_number 162
_space_group_name_Hall '-P 3 2'
_cell_length_a 9.3062
_cell_length_b 9.3062
_cell_length_c 6.2791
_cell_angle_alpha 90.00
_cell_angle_beta 90.00
_cell_angle_gamma 120.00
loop_
_atom_site_label
_atom_site_fract_x
_atom_site_fract_y
_atom_site_fract_z
_atom_site_occupancy
Sm1 0.0000 0.3890 0.2611 1
Hf1 0.0000 0.0000 0.5000 1
Sn1 0.0000 0.2401 0.7982 1
Sn2 0.3333 0.6667 0.0000 1
Sn3 0.3333 0.6667 0.5000 1
```



Entry 11:
Starting from a DFT-relaxed cell (PBE, Alexandria), the XRD peak list of SmHfTh was calculated for Cu Kα.
Neutral-atom scattering factors, no anomalous dispersion.

Most intense lines, 15 to 90 degrees two-theta, by angle:
(hkl)  2θ (°)  I (rel.)
1 0 1  31.80  100.0
0 0 3  32.18  31.0
0 1 2  37.00  67.4
1 1 0  53.07  23.9
1 0 4  53.57  22.5
0 2 1  63.21  14.3
1 1 3  63.44  27.1
0 1 5  63.89  13.6
2 0 2  66.46  12.5
2 1 1  87.05  12.3

Crystal structure
```
data_SmHfTh
_chemical_formula_sum 'Sm1 Hf1 Th1'
_space_group_name_H-M_alt 'P 3 m 1'
_space_group_IT_number 156
_space_group_name_Hall 'P 3 -2"'
_cell_length_a 3.4511
_cell_length_b 3.4511
_cell_length_c 8.3445
_cell_angle_alpha 90.00
_cell_angle_beta 90.00
_cell_angle_gamma 120.00
loop_
_atom_site_label
_atom_site_fract_x
_atom_site_fract_y
_atom_site_fract_z
_atom_site_occupancy
Sm1 0.0000 0.0000 0.0000 1
Hf1 0.3333 0.6667 0.6667 1
Th1 0.6667 0.3333 0.3537 1
```



Entry 12:
Starting from a DFT-relaxed cell (PBE, Alexandria), the XRD peak list of Sm2HfTh was calculated for Cu Kα.
Neutral-atom scattering factors, no anomalous dispersion.

Most intense lines, 15 to 90 degrees two-theta, by angle:
(hkl)  2θ (°)  I (rel.)
1 1 1  31.48  100.0
0 0 2  35.45  18.3
2 0 0  37.03  32.5
2 0 2  52.20  24.6
2 2 0  53.36  11.5
1 1 3  61.18  15.3
3 1 1  63.29  27.6
2 2 2  65.71  12.3
3 1 3  85.48  12.3
2 0 4  86.75  6.0

Crystal structure
```
data_Sm2HfTh
_chemical_formula_sum 'Sm2 Hf1 Th1'
_space_group_name_H-M_alt 'P 4/m m m'
_space_group_IT_number 123
_space_group_name_Hall '-P 4 2'
_cell_length_a 4.856
_cell_length_b 4.856
_cell_length_c 5.064
_cell_angle_alpha 90.00
_cell_angle_beta 90.00
_cell_angle_gamma 90.00
loop_
_atom_site_label
_atom_site_fract_x
_atom_site_fract_y
_atom_site_fract_z
_atom_site_occupancy
Sm1 0.000 0.500 0.000 1
Hf1 0.000 0.000 0.500 1
Th1 0.500 0.500 0.500 1
```